[1]
Calculated PXRD pattern
Compound: FeHgSbTe2
Radiation: CuKα
Structure: a DFT-relaxed cell (PBE, Alexandria)
No peak broadening, texture or thermal motion is included.

Largest 12 diffraction maxima, low angle first, 10° ≤ 2θ ≤ 80°:
24.06 deg, rel. 6
25.15 deg, rel. 12
30.49 deg, rel. 100
34.29 deg, rel. 56
37.39 deg, rel. 22
43.00 deg, rel. 6
49.28 deg, rel. 20
51.63 deg, rel. 35
59.06 deg, rel. 31
63.20 deg, rel. 13
63.45 deg, rel. 18
72.26 deg, rel. 6

Cell and atoms:
Cell: 5.2300 5.2300 4.8109 Å, 90.00 90.00 90.00°
Positions (direct):
Fe: 0.0000 0.0000 0.0000
Hg: 0.5000 0.5000 0.5000
Sb: 0.0000 0.0000 0.5000
Te: 0.0000 0.5000 0.0000
Te: 0.5000 0.0000 0.0000

***

[2]
Calculated PXRD pattern
Compound: Rb2U3CuS8
Radiation: CuKα
Structure: a DFT-relaxed cell (PBE, Alexandria)
No peak broadening, texture or thermal motion is included.

Largest 12 diffraction maxima, low angle first, 10° ≤ 2θ ≤ 80°:
10.84 deg, rel. 100
13.37 deg, rel. 19
21.78 deg, rel. 18
22.29 deg, rel. 18
24.93 deg, rel. 24
26.16 deg, rel. 40
26.92 deg, rel. 24
29.79 deg, rel. 55
36.64 deg, rel. 27
39.41 deg, rel. 22
45.68 deg, rel. 27
47.09 deg, rel. 16

Cell and atoms:
Cell: 9.3607 9.3607 9.3607 Å, 50.22 50.22 50.22°
Positions (direct):
Rb: 0.0000 0.0000 0.0000
Rb: 0.3605 0.3605 0.3605
U: 0.3589 0.3589 0.8603
U: 0.3589 0.8603 0.3589
U: 0.8603 0.3589 0.3589
Cu: 0.8064 0.8064 0.8064
S: 0.1014 0.1014 0.5534
S: 0.1014 0.5534 0.1014
S: 0.1335 0.1335 0.1335
S: 0.1347 0.6334 0.6334
S: 0.5534 0.1014 0.1014
S: 0.5836 0.5836 0.5836
S: 0.6334 0.1347 0.6334
S: 0.6334 0.6334 0.1347

***

[3]
Calculated PXRD pattern
Compound: Ca2Pu4Sb3O2
Radiation: CuKα
Structure: a DFT-relaxed cell (PBE, Alexandria)
No peak broadening, texture or thermal motion is included.

Largest 12 diffraction maxima, low angle first, 10° ≤ 2θ ≤ 80°:
13.87 deg, rel. 28
20.87 deg, rel. 16
26.70 deg, rel. 11
27.61 deg, rel. 29
30.20 deg, rel. 26
34.13 deg, rel. 100
38.11 deg, rel. 45
42.47 deg, rel. 11
52.80 deg, rel. 12
55.00 deg, rel. 16
58.37 deg, rel. 18
66.33 deg, rel. 30

Cell and atoms:
Cell: 13.1997 13.1997 13.1997 Å, 159.39 159.39 29.31°
Positions (direct):
Ca: 0.1971 0.1971 0.0000
Ca: 0.8029 0.8029 0.0000
Pu: 0.0856 0.5856 0.5000
Pu: 0.4144 0.9144 0.5000
Pu: 0.5856 0.0856 0.5000
Pu: 0.9144 0.4144 0.5000
Sb: 0.3234 0.3234 0.0000
Sb: 0.5000 0.5000 0.0000
Sb: 0.6766 0.6766 0.0000
O: 0.1025 0.1025 0.0000
O: 0.8975 0.8975 0.0000

***

[4]
Calculated PXRD pattern
Compound: SmPuTe2Se
Radiation: CuKα
Structure: a DFT-relaxed cell (PBE, Alexandria)
No peak broadening, texture or thermal motion is included.

Largest 12 diffraction maxima, low angle first, 10° ≤ 2θ ≤ 80°:
22.90 deg, rel. 31
23.35 deg, rel. 36
26.68 deg, rel. 30
28.88 deg, rel. 100
33.76 deg, rel. 28
35.44 deg, rel. 29
37.17 deg, rel. 80
40.49 deg, rel. 25
41.29 deg, rel. 64
59.82 deg, rel. 21
67.75 deg, rel. 24
72.57 deg, rel. 23

Cell and atoms:
Cell: 4.3726 4.3726 15.5334 Å, 90.00 90.00 90.00°
Positions (direct):
Sm: 0.2500 0.2500 0.0943
Sm: 0.7500 0.7500 0.9057
Pu: 0.2500 0.2500 0.6288
Pu: 0.7500 0.7500 0.3712
Te: 0.2500 0.2500 0.2959
Te: 0.2500 0.2500 0.8871
Te: 0.7500 0.7500 0.1129
Te: 0.7500 0.7500 0.7041
Se: 0.2500 0.7500 0.5000
Se: 0.7500 0.2500 0.5000

***

[5]
Calculated PXRD pattern
Compound: Na4In3Hg16
Radiation: CuKα
Structure: a DFT-relaxed cell (PBE, Alexandria)
No peak broadening, texture or thermal motion is included.

Largest 12 diffraction maxima, low angle first, 10° ≤ 2θ ≤ 80°:
17.42 deg, rel. 12
18.88 deg, rel. 13
21.78 deg, rel. 24
22.72 deg, rel. 17
24.74 deg, rel. 15
28.78 deg, rel. 12
33.19 deg, rel. 100
35.27 deg, rel. 66
38.62 deg, rel. 19
41.84 deg, rel. 14
50.74 deg, rel. 21
61.98 deg, rel. 27

Cell and atoms:
Cell: 7.1976 7.1976 12.2406 Å, 90.00 90.00 90.00°
Positions (direct):
Na: 0.0000 0.5000 0.1806
Na: 0.0000 0.5000 0.8194
Na: 0.5000 0.0000 0.1806
Na: 0.5000 0.0000 0.8194
In: 0.0000 0.0000 0.0000
In: 0.0000 0.5000 0.5000
In: 0.5000 0.0000 0.5000
Hg: 0.0000 0.0000 0.2411
Hg: 0.0000 0.0000 0.7589
Hg: 0.2635 0.2635 0.3572
Hg: 0.2635 0.2635 0.6428
Hg: 0.2635 0.7365 0.3572
Hg: 0.2635 0.7365 0.6428
Hg: 0.2856 0.2856 0.0000
Hg: 0.2856 0.7144 0.0000
Hg: 0.5000 0.5000 0.1939
Hg: 0.5000 0.5000 0.8061
Hg: 0.7144 0.2856 0.0000
Hg: 0.7144 0.7144 0.0000
Hg: 0.7365 0.2635 0.3572
Hg: 0.7365 0.2635 0.6428
Hg: 0.7365 0.7365 0.3572
Hg: 0.7365 0.7365 0.6428

***

[6]
Calculated PXRD pattern
Compound: YAg3Br6
Radiation: CuKα
Structure: a DFT-relaxed cell (PBE, Alexandria)
No peak broadening, texture or thermal motion is included.

Largest 12 diffraction maxima, low angle first, 10° ≤ 2θ ≤ 80°:
13.13 deg, rel. 22
13.79 deg, rel. 23
15.36 deg, rel. 91
25.45 deg, rel. 26
25.81 deg, rel. 17
31.01 deg, rel. 100
31.98 deg, rel. 44
34.69 deg, rel. 15
44.27 deg, rel. 52
44.61 deg, rel. 16
46.00 deg, rel. 30
55.63 deg, rel. 17

Cell and atoms:
Cell: 7.8963 7.9014 8.1349 Å, 61.41 61.39 62.43°
Positions (direct):
Y: 0.0000 0.0000 0.0000
Ag: 0.0000 0.5000 0.0000
Ag: 0.5000 0.0000 0.0000
Ag: 0.5000 0.5000 0.5000
Br: 0.2228 0.7369 0.7716
Br: 0.2469 0.2475 0.7118
Br: 0.2674 0.7726 0.2241
Br: 0.7326 0.2274 0.7759
Br: 0.7531 0.7525 0.2882
Br: 0.7772 0.2631 0.2284

***

[7]
Calculated PXRD pattern
Compound: AgSbPb2
Radiation: CuKα
Structure: a DFT-relaxed cell (PBE, Alexandria)
No peak broadening, texture or thermal motion is included.

Largest 12 diffraction maxima, low angle first, 10° ≤ 2θ ≤ 80°:
26.07 deg, rel. 100
36.60 deg, rel. 68
37.80 deg, rel. 65
46.49 deg, rel. 22
49.92 deg, rel. 13
53.63 deg, rel. 23
61.40 deg, rel. 19
64.28 deg, rel. 6
67.46 deg, rel. 23
68.25 deg, rel. 12
73.66 deg, rel. 11
77.04 deg, rel. 8

Cell and atoms:
Cell: 4.7606 4.7606 6.1131 Å, 90.00 90.00 120.00°
Positions (direct):
Ag: 0.0000 0.0000 0.0000
Sb: 0.0000 0.0000 0.5000
Pb: 0.3333 0.6667 0.2147
Pb: 0.6667 0.3333 0.7853

***

[8]
Calculated PXRD pattern
Compound: LaAgI6
Radiation: CuKα
Structure: a DFT-relaxed cell (PBE, Alexandria)
No peak broadening, texture or thermal motion is included.

Largest 12 diffraction maxima, low angle first, 10° ≤ 2θ ≤ 80°:
10.56 deg, rel. 90
17.20 deg, rel. 29
20.24 deg, rel. 30
21.99 deg, rel. 58
23.87 deg, rel. 77
25.78 deg, rel. 37
28.02 deg, rel. 100
33.19 deg, rel. 57
34.81 deg, rel. 66
36.45 deg, rel. 80
36.83 deg, rel. 92
48.86 deg, rel. 37

Cell and atoms:
Cell: 8.3981 5.1548 8.5242 Å, 90.00 100.69 90.00°
Positions (direct):
La: 0.0000 0.0000 0.0000
Ag: 0.5000 0.5000 0.0000
I: 0.1334 0.0000 0.4137
I: 0.1625 0.5000 0.8452
I: 0.3896 0.0000 0.1781
I: 0.6104 0.0000 0.8219
I: 0.8375 0.5000 0.1548
I: 0.8666 0.0000 0.5863

***

[9]
Calculated PXRD pattern
Compound: TbPrTh2
Radiation: CuKα
Structure: a DFT-relaxed cell (PBE, Alexandria)
No peak broadening, texture or thermal motion is included.

Largest 12 diffraction maxima, low angle first, 10° ≤ 2θ ≤ 80°:
28.79 deg, rel. 12
29.13 deg, rel. 30
30.29 deg, rel. 48
31.39 deg, rel. 100
33.81 deg, rel. 72
38.51 deg, rel. 21
50.80 deg, rel. 36
52.89 deg, rel. 26
57.65 deg, rel. 13
60.30 deg, rel. 44
60.94 deg, rel. 15
62.42 deg, rel. 13

Cell and atoms:
Cell: 3.5946 3.5946 35.4070 Å, 90.00 90.00 120.00°
Positions (direct):
Tb: 0.0000 0.0000 0.0000
Tb: 0.3333 0.6667 0.6667
Tb: 0.6667 0.3333 0.3333
Pr: 0.0000 0.0000 0.1698
Pr: 0.3333 0.6667 0.8365
Pr: 0.6667 0.3333 0.5032
Th: 0.0000 0.0000 0.4166
Th: 0.0000 0.0000 0.5862
Th: 0.3333 0.6667 0.0832
Th: 0.3333 0.6667 0.2529
Th: 0.6667 0.3333 0.7499
Th: 0.6667 0.3333 0.9196

***

[10]
Calculated PXRD pattern
Compound: Ba2CaInO5
Radiation: CuKα
Structure: a DFT-relaxed cell (PBE, Alexandria)
No peak broadening, texture or thermal motion is included.

Largest 12 diffraction maxima, low angle first, 10° ≤ 2θ ≤ 80°:
12.01 deg, rel. 24
26.84 deg, rel. 69
29.04 deg, rel. 59
29.20 deg, rel. 100
29.86 deg, rel. 53
30.94 deg, rel. 23
34.38 deg, rel. 55
37.50 deg, rel. 30
38.77 deg, rel. 25
48.23 deg, rel. 25
51.03 deg, rel. 24
57.28 deg, rel. 22

Cell and atoms:
Cell: 7.6049 7.6049 11.1650 Å, 90.00 90.00 151.27°
Positions (direct):
Ba: 0.1074 0.8926 0.5000
Ba: 0.1341 0.8659 0.1106
Ba: 0.8659 0.1341 0.6106
Ba: 0.8926 0.1074 0.0000
Ca: 0.2182 0.7818 0.8253
Ca: 0.7818 0.2182 0.3253
In: 0.4693 0.5307 0.2827
In: 0.5307 0.4693 0.7827
O: 0.0562 0.9438 0.8651
O: 0.2827 0.7173 0.4595
O: 0.3212 0.6788 0.2076
O: 0.3797 0.6203 0.8138
O: 0.4981 0.5019 0.5983
O: 0.5019 0.4981 0.0983
O: 0.6203 0.3797 0.3138
O: 0.6788 0.3212 0.7076
O: 0.7173 0.2827 0.9595
O: 0.9438 0.0562 0.3651

***

[11]
Calculated PXRD pattern
Compound: K3Na7Li
Radiation: CuKα
Structure: a DFT-relaxed cell (PBE, Alexandria)
No peak broadening, texture or thermal motion is included.

Largest 12 diffraction maxima, low angle first, 10° ≤ 2θ ≤ 80°:
15.43 deg, rel. 25
23.01 deg, rel. 24
23.47 deg, rel. 24
23.59 deg, rel. 69
24.30 deg, rel. 78
26.18 deg, rel. 57
29.54 deg, rel. 77
30.85 deg, rel. 100
30.97 deg, rel. 38
33.17 deg, rel. 26
39.34 deg, rel. 40
53.10 deg, rel. 24

Cell and atoms:
Cell: 6.9773 6.9773 12.0932 Å, 106.43 106.43 67.35°
Positions (direct):
K: 0.0000 0.0000 0.0000
K: 0.3705 0.8825 0.4236
K: 0.8825 0.3705 0.4236
Na: 0.0171 0.5562 0.1790
Na: 0.2235 0.7127 0.6763
Na: 0.2678 0.2678 0.8215
Na: 0.4923 0.4923 0.1136
Na: 0.5562 0.0171 0.1790
Na: 0.7127 0.2235 0.6763
Na: 0.7362 0.7362 0.7211
Li: 0.6207 0.6207 0.9230

***

[12]
Calculated PXRD pattern
Compound: K2PtC2O6
Radiation: CuKα
Structure: a DFT-relaxed cell (PBE, Alexandria)
No peak broadening, texture or thermal motion is included.

Largest 12 diffraction maxima, low angle first, 10° ≤ 2θ ≤ 80°:
15.89 deg, rel. 95
16.97 deg, rel. 100
17.11 deg, rel. 80
19.46 deg, rel. 83
27.63 deg, rel. 85
28.26 deg, rel. 40
29.10 deg, rel. 98
30.39 deg, rel. 60
34.15 deg, rel. 65
35.38 deg, rel. 87
45.90 deg, rel. 43
47.02 deg, rel. 35

Cell and atoms:
Cell: 6.4052 6.4052 6.2806 Å, 114.95 114.95 46.63°
Positions (direct):
K: 0.1963 0.1963 0.2122
K: 0.8037 0.8037 0.7878
Pt: 0.0000 0.0000 0.5000
C: 0.4967 0.4967 0.2686
C: 0.5033 0.5033 0.7314
O: 0.2088 0.6461 0.2363
O: 0.3539 0.7912 0.7637
O: 0.3873 0.3873 0.6817
O: 0.6127 0.6127 0.3183
O: 0.6461 0.2088 0.2363
O: 0.7912 0.3539 0.7637

***

[13]
Calculated PXRD pattern
Compound: SrRePt2
Radiation: CuKα
Structure: a DFT-relaxed cell (PBE, Alexandria)
No peak broadening, texture or thermal motion is included.

Largest 12 diffraction maxima, low angle first, 10° ≤ 2θ ≤ 80°:
15.37 deg, rel. 66
34.05 deg, rel. 47
36.72 deg, rel. 100
38.61 deg, rel. 50
39.11 deg, rel. 24
44.06 deg, rel. 76
46.55 deg, rel. 17
47.29 deg, rel. 12
63.42 deg, rel. 17
64.52 deg, rel. 12
77.78 deg, rel. 13
78.56 deg, rel. 13

Cell and atoms:
Cell: 9.4324 2.8888 5.8289 Å, 90.00 98.55 90.00°
Positions (direct):
Sr: 0.0000 0.0000 0.0000
Sr: 0.5000 0.5000 0.0000
Re: 0.2630 0.5000 0.3644
Re: 0.7630 0.0000 0.3644
Pt: 0.9996 0.5000 0.4780
Pt: 0.2420 0.0000 0.7358
Pt: 0.4996 0.0000 0.4780
Pt: 0.7420 0.5000 0.7358

***

[14]
Calculated PXRD pattern
Compound: Tb3Au
Radiation: CuKα
Structure: a DFT-relaxed cell (PBE, Alexandria)
No peak broadening, texture or thermal motion is included.

Largest 12 diffraction maxima, low angle first, 10° ≤ 2θ ≤ 80°:
18.45 deg, rel. 7
31.67 deg, rel. 20
33.35 deg, rel. 100
33.75 deg, rel. 35
43.51 deg, rel. 7
46.95 deg, rel. 17
48.81 deg, rel. 10
57.48 deg, rel. 8
59.36 deg, rel. 7
60.08 deg, rel. 19
60.64 deg, rel. 10
70.04 deg, rel. 8

Cell and atoms:
Cell: 3.7315 5.3150 11.3018 Å, 90.00 90.00 90.00°
Positions (direct):
Tb: 0.0000 0.0000 0.0000
Tb: 0.0000 0.5000 0.2098
Tb: 0.0000 0.5000 0.7902
Tb: 0.5000 0.0000 0.2902
Tb: 0.5000 0.0000 0.7098
Tb: 0.5000 0.5000 0.5000
Au: 0.0000 0.0000 0.5000
Au: 0.5000 0.5000 0.0000